This entry pairs a crystal structure of K4CdIn3 with its simulated X-ray diffraction stick pattern. Radiation: Cu Kα, 1.54184 Å. Structure: the GGA-PBE geometry in OQMD.

Peak list (10 most intense, 2θ from 5° to 70°, sorted by position)
d (Å)	Rel. int.	hkl
4.677	37.1	1 0 1
2.873	100.0	1 1 2
2.847	48.8	2 0 0
2.464	7.6	1 0 3
2.432	14.7	2 1 1
2.050	9.1	0 0 4
2.013	17.2	2 2 0
1.664	18.1	2 0 4
1.649	35.2	3 1 2
1.437	10.8	2 2 4

Crystal structure
```
data_K4CdIn3
_chemical_formula_sum 'K4 Cd1 In3'
_cell_length_a 5.695
_cell_length_b 5.695
_cell_length_c 8.201
_cell_angle_alpha 90.00
_cell_angle_beta 90.00
_cell_angle_gamma 90.00
_symmetry_space_group_name_H-M 'P -4 m 2'
_symmetry_Int_Tables_number 115
_symmetry_space_group_name_Hall 'P -4 -2'
loop_
_atom_site_label
_atom_site_type_symbol
_atom_site_fract_x
_atom_site_fract_y
_atom_site_fract_z
K1 K 0.000 0.000 0.000
K2 K 0.000 0.500 0.747
K3 K 0.500 0.500 0.500
Cd1 Cd 0.000 0.000 0.500
In1 In 0.000 0.500 0.247
In2 In 0.500 0.500 0.000
```

***

This entry pairs a crystal structure of H4AuC4S4N4O2 with its simulated X-ray diffraction stick pattern. Radiation: Cu Kα, 1.54184 Å. Structure: the GGA-PBE geometry in OQMD.

Peak list (10 most intense, 2θ from 5° to 70°, sorted by position)
d (Å)	Rel. int.	hkl
8.806	100.0	0 0 1
8.324	86.4	0 1 0
6.754	41.4	0 1 -1
5.527	24.5	0 1 1
4.403	17.3	0 0 2
3.573	28.9	1 0 -1
3.480	29.0	1 -1 0
3.217	33.4	-1 1 1
2.774	22.5	1 0 2
2.611	20.5	0 1 3

Crystal structure
```
data_H4AuC4S4N4O2
_chemical_formula_sum 'H4 Au1 C4 S4 N4 O2'
_cell_length_a 3.797
_cell_length_b 8.493
_cell_length_c 9.005
_cell_angle_alpha 101.36
_cell_angle_beta 93.89
_cell_angle_gamma 90.61
_symmetry_space_group_name_H-M 'P -1'
_symmetry_Int_Tables_number 2
_symmetry_space_group_name_Hall '-P 1'
loop_
_atom_site_label
_atom_site_type_symbol
_atom_site_fract_x
_atom_site_fract_y
_atom_site_fract_z
H1 H 0.004 0.345 0.057
H2 H 0.334 0.458 0.123
Au1 Au 0.000 0.000 0.500
C1 C 0.240 0.947 0.833
C2 C 0.311 0.364 0.588
S1 S 0.123 0.253 0.431
S2 S 0.250 0.106 0.753
N1 N 0.232 0.835 0.892
N2 N 0.448 0.448 0.697
O1 O 0.213 0.398 0.026
```

***

This entry pairs a crystal structure of Nb2Tl4Se11 with its simulated X-ray diffraction stick pattern. Radiation: Cu Kα, 1.54184 Å. Structure: the GGA-PBE geometry in OQMD.

Peak list (10 most intense, 2θ from 5° to 70°, sorted by position)
d (Å)	Rel. int.	hkl
5.132	23.1	1 0 -2
4.607	34.9	0 2 1
3.854	31.8	1 0 3
3.837	29.8	2 0 1
3.071	100.0	1 0 -4
3.028	24.7	2 2 2
2.985	22.6	2 -1 2
2.960	24.5	1 -2 2
2.949	63.4	1 2 4
2.875	45.3	2 -2 0

Crystal structure
```
data_Nb2Tl4Se11
_chemical_formula_sum 'Nb4 Tl8 Se22'
_cell_length_a 8.060
_cell_length_b 9.243
_cell_length_c 13.840
_cell_angle_alpha 72.93
_cell_angle_beta 89.36
_cell_angle_gamma 86.09
_symmetry_space_group_name_H-M 'P -1'
_symmetry_Int_Tables_number 2
_symmetry_space_group_name_Hall '-P 1'
loop_
_atom_site_label
_atom_site_type_symbol
_atom_site_fract_x
_atom_site_fract_y
_atom_site_fract_z
Nb1 Nb 0.123 0.366 0.304
Nb2 Nb 0.336 0.108 0.188
Tl1 Tl 0.052 0.762 0.984
Tl2 Tl 0.213 0.978 0.572
Tl3 Tl 0.239 0.417 0.582
Tl4 Tl 0.492 0.722 0.113
Se1 Se 0.020 0.713 0.531
Se2 Se 0.025 0.130 0.249
Se3 Se 0.055 0.659 0.249
Se4 Se 0.120 0.493 0.816
Se5 Se 0.262 0.404 0.109
Se6 Se 0.272 0.035 0.037
Se7 Se 0.345 0.857 0.335
Se8 Se 0.393 0.180 0.373
Se9 Se 0.399 0.078 0.750
Se10 Se 0.402 0.446 0.353
Se11 Se 0.452 0.689 0.882
```

***

This entry pairs a crystal structure of Ga4Tc3 with its simulated X-ray diffraction stick pattern. Radiation: Cu Kα, 1.54184 Å. Structure: the GGA-PBE geometry in OQMD.

Peak list (7 most intense, 2θ from 5° to 70°, sorted by position)
d (Å)	Rel. int.	hkl
4.289	18.8	1 1 0
2.476	8.7	2 1 1
2.144	100.0	2 2 0
1.918	4.0	3 1 0
1.621	4.6	3 2 1
1.516	16.1	4 0 0
1.430	2.3	4 1 1

Crystal structure
```
data_Ga4Tc3
_chemical_formula_sum 'Ga8 Tc6'
_cell_length_a 6.065
_cell_length_b 6.065
_cell_length_c 6.065
_cell_angle_alpha 90.00
_cell_angle_beta 90.00
_cell_angle_gamma 90.00
_symmetry_space_group_name_H-M 'I m -3 m'
_symmetry_Int_Tables_number 229
_symmetry_space_group_name_Hall '-I 4 2 3'
loop_
_atom_site_label
_atom_site_type_symbol
_atom_site_fract_x
_atom_site_fract_y
_atom_site_fract_z
Ga1 Ga 0.250 0.250 0.250
Tc1 Tc 0.000 0.000 0.500
```

***

This entry pairs a crystal structure of Zr4CoP with its simulated X-ray diffraction stick pattern. Radiation: Cu Kα, 1.54184 Å. Structure: the GGA-PBE geometry in OQMD.

Peak list (10 most intense, 2θ from 5° to 70°, sorted by position)
d (Å)	Rel. int.	hkl
2.712	14.9	0 0 2
2.535	100.0	2 1 1
2.327	17.9	1 1 2
2.267	6.8	2 2 0
2.070	24.3	2 0 2
2.027	25.8	3 1 0
1.529	20.2	2 1 3
1.511	4.8	3 3 0
1.495	16.2	4 1 1
1.380	7.9	4 0 2

Crystal structure
```
data_Zr4CoP
_chemical_formula_sum 'Zr8 Co2 P2'
_cell_length_a 6.411
_cell_length_b 6.411
_cell_length_c 5.424
_cell_angle_alpha 90.00
_cell_angle_beta 90.00
_cell_angle_gamma 90.00
_symmetry_space_group_name_H-M 'P 4/m c c'
_symmetry_Int_Tables_number 124
_symmetry_space_group_name_Hall '-P 4 2c'
loop_
_atom_site_label
_atom_site_type_symbol
_atom_site_fract_x
_atom_site_fract_y
_atom_site_fract_z
Zr1 Zr 0.160 0.332 0.000
Co1 Co 0.000 0.000 0.250
P1 P 0.500 0.500 0.250
```

***

This entry pairs a crystal structure of Mg6AgAu with its simulated X-ray diffraction stick pattern. Radiation: Cu Kα, 1.54184 Å. Structure: the GGA-PBE geometry in OQMD.

Peak list (10 most intense, 2θ from 5° to 70°, sorted by position)
d (Å)	Rel. int.	hkl
5.281	55.0	1 0 0
3.580	97.5	1 0 1
3.049	43.3	1 1 0
2.640	26.2	2 0 0
2.435	25.3	0 0 2
2.321	100.0	2 0 1
1.903	22.7	1 1 2
1.847	33.9	2 1 1
1.524	17.1	2 2 0
1.383	18.7	2 0 3

Crystal structure
```
data_Mg6AgAu
_chemical_formula_sum 'Mg6 Ag1 Au1'
_cell_length_a 6.0976
_cell_length_b 6.0976
_cell_length_c 4.8703
_cell_angle_alpha 90.00
_cell_angle_beta 90.00
_cell_angle_gamma 120.00
_symmetry_space_group_name_H-M 'P -6 m 2'
_symmetry_Int_Tables_number 187
_symmetry_space_group_name_Hall 'P -6 2'
loop_
_atom_site_label
_atom_site_type_symbol
_atom_site_fract_x
_atom_site_fract_y
_atom_site_fract_z
Mg1 Mg 0.0082 0.5041 0.0000
Mg2 Mg 0.3235 0.1617 0.5000
Ag1 Ag 0.3333 0.6667 0.5000
Au1 Au 0.0000 0.0000 0.0000
```

***

This entry pairs a crystal structure of Ba2GdOsSe6 with its simulated X-ray diffraction stick pattern. Radiation: Cu Kα, 1.54184 Å. Structure: the GGA-PBE geometry in OQMD.

Peak list (10 most intense, 2θ from 5° to 70°, sorted by position)
d (Å)	Rel. int.	hkl
3.721	100.0	1 1 2
3.615	90.8	2 0 0
3.099	36.9	1 2 1
2.713	81.0	0 0 4
2.556	96.1	2 2 0
2.170	43.8	2 0 4
2.107	87.6	1 3 2
1.860	72.7	2 2 4
1.617	41.6	4 2 0
1.389	44.2	4 2 4

Crystal structure
```
data_Ba2GdOsSe6
_chemical_formula_sum 'Ba4 Gd2 Os2 Se12'
_cell_length_a 7.230
_cell_length_b 7.230
_cell_length_c 10.851
_cell_angle_alpha 90.00
_cell_angle_beta 90.00
_cell_angle_gamma 90.00
_symmetry_space_group_name_H-M 'I 4/m'
_symmetry_Int_Tables_number 87
_symmetry_space_group_name_Hall '-I 4'
loop_
_atom_site_label
_atom_site_type_symbol
_atom_site_fract_x
_atom_site_fract_y
_atom_site_fract_z
Ba1 Ba 0.000 0.500 0.250
Gd1 Gd 0.000 0.000 0.000
Os1 Os 0.000 0.000 0.500
Se1 Se 0.000 0.000 0.265
Se2 Se 0.169 0.302 0.500
```